# 1
Starting from a cell relaxed with PBE, the powder X-ray diffraction pattern of CdAs2 was computed for Cu Kα (λ = 1.5418 Å).
Intensities are scaled so that the largest is 100.

Cell and atoms:
```
CdAs2
1.0
-4.0691 4.0691 2.3808
4.0691 -4.0691 2.3808
4.0691 4.0691 -2.3808
Cd As
2 4
direct
0.0000 0.0000 0.0000
0.7500 0.2500 0.5000
0.3134 0.1250 0.6884
0.3750 0.5634 0.6884
0.4366 0.6250 0.3116
0.8750 0.6866 0.3116
```

The 12 most intense peaks (10 to 80 degrees two-theta), low angle first:
- 15.40°, d 5.755, rel. 18
- 21.84°, d 4.069, rel. 20
- 30.92°, d 2.892, rel. 100
- 41.03°, d 2.200, rel. 11
- 44.07°, d 2.055, rel. 12
- 44.42°, d 2.040, rel. 21
- 44.53°, d 2.035, rel. 13
- 50.13°, d 1.820, rel. 13
- 52.35°, d 1.748, rel. 19
- 60.07°, d 1.540, rel. 8
- 73.54°, d 1.288, rel. 10
- 79.62°, d 1.204, rel. 8

---

# 2
Starting from a cell relaxed with PBE, the powder X-ray diffraction pattern of Cd7As was computed for Cu Kα (λ = 1.5418 Å).
Intensities are scaled so that the largest is 100.

Cell and atoms:
```
Cd7As
1.0
0.0000 4.4431 4.4431
4.4431 0.0000 4.4431
4.4431 4.4431 0.0000
Cd As
7 1
direct
0.0000 0.0000 0.0000
0.0000 0.0000 0.5000
0.0000 0.5000 0.0000
0.0000 0.5000 0.5000
0.5000 0.0000 0.0000
0.5000 0.0000 0.5000
0.5000 0.5000 0.0000
0.5000 0.5000 0.5000
```

The 8 most intense peaks (10 to 80 degrees two-theta), low angle first:
- 17.28°, d 5.130, rel. 1
- 19.98°, d 4.443, rel. 1
- 33.44°, d 2.679, rel. 1
- 34.98°, d 2.565, rel. 100
- 40.61°, d 2.222, rel. 49
- 58.78°, d 1.571, rel. 32
- 70.26°, d 1.340, rel. 36
- 73.89°, d 1.283, rel. 10